No. 1
Diffraction record for Sm2AlGePt6. The PXRD pattern is computed, not measured: it uses a structure optimized by DFT (PBE) and CuKα.
Peak positions follow from Bragg's law for the DFT cell and can differ from measured ones.

Largest 6 diffraction maxima, by angle, 10° ≤ 2θ ≤ 80°:
2θ (°)  I/Imax
14.5  49
29.3  43
29.9  57
35.6  44
40.5  100
42.2  38

```
Sm2AlGePt6
1.0
5.624 0.000 0.000
2.791 6.053 0.000
2.787 2.047 6.091
Sm Al Ge Pt
2 1 1 6
direct
0.181 0.418 0.221
0.819 0.582 0.779
0.000 0.000 0.000
0.500 0.500 0.500
0.151 0.846 0.345
0.249 0.741 0.760
0.345 0.152 0.656
0.655 0.848 0.344
0.751 0.259 0.240
0.849 0.154 0.655
```

No. 2
Diffraction record for Ca3CrAs2Pd9. The PXRD pattern is computed, not measured: it uses a structure optimized by DFT (PBE) and CuKα.
Peak positions follow from Bragg's law for the DFT cell and can differ from measured ones.

Largest 6 diffraction maxima, by angle, 10° ≤ 2θ ≤ 80°:
2θ (°)  I/Imax
18.7  65
33.3  83
37.9  100
43.5  37
44.8  35
56.2  32

```
Ca3CrAs2Pd9
1.0
6.545 0.000 0.000
-3.273 5.668 0.000
0.000 0.000 8.669
Ca Cr As Pd
3 1 2 9
direct
0.000 0.000 0.000
0.333 0.667 0.697
0.667 0.333 0.303
0.000 0.000 0.500
0.333 0.667 0.174
0.667 0.333 0.826
0.000 0.500 0.000
0.194 0.388 0.393
0.194 0.806 0.393
0.388 0.194 0.607
0.500 0.000 0.000
0.500 0.500 0.000
0.612 0.806 0.393
0.806 0.194 0.607
0.806 0.612 0.607
```

No. 3
Diffraction record for CaLaGaGe. The PXRD pattern is computed, not measured: it uses a structure optimized by DFT (PBE) and CuKα.
Peak positions follow from Bragg's law for the DFT cell and can differ from measured ones.

Largest 6 diffraction maxima, by angle, 10° ≤ 2θ ≤ 80°:
2θ (°)  I/Imax
15.8  31
30.1  100
30.9  36
37.8  74
38.6  28
39.5  28

```
CaLaGaGe
1.0
4.165 0.000 0.000
0.000 4.561 0.000
0.000 0.000 11.243
Ca La Ga Ge
2 2 2 2
direct
0.000 0.000 0.000
0.000 0.500 0.500
0.500 0.000 0.276
0.500 0.500 0.776
0.500 0.000 0.563
0.500 0.500 0.063
0.000 0.000 0.711
0.000 0.500 0.211
```

No. 4
Diffraction record for Y6Cu5Os. The PXRD pattern is computed, not measured: it uses a structure optimized by DFT (PBE) and CuKα.
Peak positions follow from Bragg's law for the DFT cell and can differ from measured ones.

Largest 6 diffraction maxima, by angle, 10° ≤ 2θ ≤ 80°:
2θ (°)  I/Imax
14.1  5
36.6  100
52.7  17
65.8  22
65.9  11
77.7  8

```
Y6Cu5Os
1.0
4.258 -7.360 0.000
4.258 7.360 0.000
-2.834 0.000 4.017
Y Cu Os
6 5 1
direct
0.082 0.409 0.746
0.243 0.243 0.244
0.409 0.082 0.746
0.591 0.918 0.254
0.757 0.757 0.756
0.918 0.591 0.254
0.167 0.833 0.000
0.334 0.666 0.500
0.500 0.500 0.000
0.666 0.334 0.500
0.833 0.167 0.000
0.000 0.000 0.500
```

No. 5
Diffraction record for BaAl2Ge2O8. The PXRD pattern is computed, not measured: it uses a structure optimized by DFT (PBE) and CuKα.
Peak positions follow from Bragg's law for the DFT cell and can differ from measured ones.

Largest 6 diffraction maxima, by angle, 10° ≤ 2θ ≤ 80°:
2θ (°)  I/Imax
22.5  41
24.7  65
25.6  100
26.3  84
28.4  59
33.4  82

```
BaAl2Ge2O8
1.0
6.900 -6.778 0.000
6.900 6.778 0.000
-1.695 0.000 8.762
Ba Al Ge O
4 8 8 32
direct
0.065 0.566 0.789
0.434 0.935 0.711
0.566 0.065 0.289
0.935 0.434 0.211
0.055 0.792 0.473
0.208 0.945 0.027
0.294 0.433 0.108
0.433 0.294 0.608
0.567 0.706 0.392
0.706 0.567 0.892
0.792 0.055 0.973
0.945 0.208 0.527
0.069 0.208 0.895
0.208 0.069 0.395
0.291 0.556 0.476
0.444 0.709 0.024
0.556 0.291 0.976
0.709 0.444 0.524
0.792 0.931 0.605
0.931 0.792 0.105
0.023 0.261 0.715
0.066 0.184 0.393
0.073 0.822 0.009
0.134 0.368 0.001
0.143 0.645 0.538
0.178 0.927 0.491
0.184 0.066 0.893
0.238 0.476 0.288
0.261 0.023 0.215
0.319 0.437 0.610
0.321 0.575 0.009
0.355 0.857 0.962
0.368 0.134 0.501
0.425 0.679 0.491
0.437 0.319 0.110
0.476 0.238 0.788
0.524 0.762 0.212
0.563 0.681 0.890
0.575 0.321 0.509
0.632 0.866 0.499
0.645 0.143 0.038
0.679 0.425 0.991
0.681 0.563 0.390
0.739 0.977 0.785
0.762 0.524 0.712
0.816 0.934 0.107
0.822 0.073 0.509
0.857 0.355 0.462
0.866 0.632 0.999
0.927 0.178 0.991
0.934 0.816 0.607
0.977 0.739 0.285
```

No. 6
Diffraction record for Ca3Ga2Pt2. The PXRD pattern is computed, not measured: it uses a structure optimized by DFT (PBE) and CuKα.
Peak positions follow from Bragg's law for the DFT cell and can differ from measured ones.

Largest 6 diffraction maxima, by angle, 10° ≤ 2θ ≤ 80°:
2θ (°)  I/Imax
15.3  51
20.0  67
27.0  36
34.3  37
37.6  33
38.3  100

```
Ca3Ga2Pt2
1.0
5.804 0.000 0.000
0.000 7.870 0.000
0.000 0.000 13.957
Ca Ga Pt
12 8 8
direct
0.128 0.245 0.250
0.128 0.255 0.750
0.356 0.605 0.598
0.356 0.605 0.902
0.356 0.895 0.098
0.356 0.895 0.402
0.644 0.105 0.598
0.644 0.105 0.902
0.644 0.395 0.098
0.644 0.395 0.402
0.872 0.745 0.250
0.872 0.755 0.750
0.123 0.250 0.000
0.123 0.250 0.500
0.361 0.593 0.250
0.361 0.907 0.750
0.639 0.093 0.250
0.639 0.407 0.750
0.877 0.750 0.000
0.877 0.750 0.500
0.139 0.532 0.095
0.139 0.532 0.405
0.139 0.968 0.595
0.139 0.968 0.905
0.861 0.032 0.095
0.861 0.032 0.405
0.861 0.468 0.595
0.861 0.468 0.905
```

No. 7
Diffraction record for Pr2AgHgO5. The PXRD pattern is computed, not measured: it uses a structure optimized by DFT (PBE) and CuKα.
Peak positions follow from Bragg's law for the DFT cell and can differ from measured ones.

Largest 6 diffraction maxima, by angle, 10° ≤ 2θ ≤ 80°:
2θ (°)  I/Imax
29.7  100
30.5  32
32.4  29
36.2  25
42.2  22
48.1  22

```
Pr2AgHgO5
1.0
7.014 0.000 0.000
0.000 7.014 0.000
0.000 0.000 5.856
Pr Ag Hg O
4 2 2 10
direct
0.176 0.324 0.000
0.324 0.824 0.000
0.676 0.176 0.000
0.824 0.676 0.000
0.000 0.500 0.500
0.500 0.000 0.500
0.000 0.000 0.500
0.500 0.500 0.500
0.000 0.000 0.000
0.131 0.631 0.237
0.131 0.631 0.763
0.369 0.131 0.237
0.369 0.131 0.763
0.500 0.500 0.000
0.631 0.869 0.237
0.631 0.869 0.763
0.869 0.369 0.237
0.869 0.369 0.763
```

No. 8
Diffraction record for Mn2SnPd4. The PXRD pattern is computed, not measured: it uses a structure optimized by DFT (PBE) and CuKα.
Peak positions follow from Bragg's law for the DFT cell and can differ from measured ones.

Largest 6 diffraction maxima, by angle, 10° ≤ 2θ ≤ 80°:
2θ (°)  I/Imax
35.6  48
40.4  100
41.2  55
59.1  18
73.5  16
74.0  18

```
Mn2SnPd4
1.0
2.234 -3.863 0.000
2.234 3.863 0.000
0.000 0.000 13.299
Mn Sn Pd
4 2 8
direct
0.167 0.833 0.558
0.167 0.833 0.942
0.833 0.167 0.058
0.833 0.167 0.442
0.499 0.501 0.750
0.501 0.499 0.250
0.166 0.834 0.750
0.167 0.833 0.137
0.167 0.833 0.363
0.500 0.500 0.000
0.500 0.500 0.500
0.833 0.167 0.637
0.833 0.167 0.863
0.834 0.166 0.250
```

No. 9
Diffraction record for LaHO. The PXRD pattern is computed, not measured: it uses a structure optimized by DFT (PBE) and CuKα.
Peak positions follow from Bragg's law for the DFT cell and can differ from measured ones.

Largest 6 diffraction maxima, by angle, 10° ≤ 2θ ≤ 80°:
2θ (°)  I/Imax
27.0  100
31.3  38
44.9  45
53.1  42
72.0  16
74.2  12

```
LaHO
1.0
8.084 0.000 0.000
0.000 8.084 0.000
0.000 0.000 5.715
La H O
8 8 8
direct
0.000 0.000 0.000
0.000 0.500 0.000
0.250 0.250 0.442
0.250 0.750 0.500
0.500 0.000 0.000
0.500 0.500 0.000
0.750 0.250 0.500
0.750 0.750 0.558
0.019 0.250 0.744
0.250 0.019 0.744
0.250 0.481 0.744
0.481 0.250 0.744
0.519 0.750 0.256
0.750 0.519 0.256
0.750 0.981 0.256
0.981 0.750 0.256
0.014 0.750 0.759
0.250 0.514 0.241
0.250 0.986 0.241
0.486 0.750 0.759
0.514 0.250 0.241
0.750 0.014 0.759
0.750 0.486 0.759
0.986 0.250 0.241
```

No. 10
Diffraction record for Y4Cu2Au. The PXRD pattern is computed, not measured: it uses a structure optimized by DFT (PBE) and CuKα.
Peak positions follow from Bragg's law for the DFT cell and can differ from measured ones.

Largest 6 diffraction maxima, by angle, 10° ≤ 2θ ≤ 80°:
2θ (°)  I/Imax
11.0  36
21.0  30
36.2  100
36.4  98
52.3  34
65.2  51

```
Y4Cu2Au
1.0
2.479 1.431 8.055
-2.479 1.431 8.055
0.000 -2.863 8.055
Y Cu Au
4 2 1
direct
0.122 0.122 0.122
0.373 0.373 0.373
0.627 0.627 0.627
0.878 0.878 0.878
0.251 0.251 0.251
0.749 0.749 0.749
0.500 0.500 0.500
```

No. 11
Diffraction record for Hg2PIrC. The PXRD pattern is computed, not measured: it uses a structure optimized by DFT (PBE) and CuKα.
Peak positions follow from Bragg's law for the DFT cell and can differ from measured ones.

Largest 6 diffraction maxima, by angle, 10° ≤ 2θ ≤ 80°:
2θ (°)  I/Imax
20.2  33
23.2  100
36.3  43
37.2  80
39.8  32
42.5  35

```
Hg2PIrC
1.0
4.259 0.000 0.000
-2.129 4.425 0.000
-0.055 -0.550 5.599
Hg P Ir C
2 1 1 1
direct
0.000 0.000 0.000
0.293 0.588 0.775
0.700 0.399 0.355
0.299 0.598 0.283
0.511 0.018 0.337
```